Structure and theoretical X-ray powder pattern of Li3Mn3SiO8 (a structure optimized by DFT (GGA+U); Cu Kα X-rays).

Cell and atoms:
Cell lengths 5.269, 5.664, 5.329 Å; angles 90.00, 111.87, 90.00 degrees
Space group P2/m (No. 10)
One atom of each set of equivalent atoms:
Li 0.000 0.000 0.000 (multiplicity 1)
Li 0.000 0.259 0.500 (multiplicity 2)
Mn 0.500 0.000 0.500 (multiplicity 1)
Mn 0.500 0.251 0.000 (multiplicity 2)
Si 0.500 0.500 0.500 (multiplicity 1)
O 0.265 0.000 0.787 (multiplicity 2)
O 0.283 0.266 0.300 (multiplicity 4)
O 0.311 0.500 0.734 (multiplicity 2)

Top 6 peaks for 2θ = 10–90°, in order of rising 2θ:
2θ/deg, intensity, index
18.14, 100, 1 0 0
33.99, 18, 1 0 -2
36.57, 17, 0 2 1
41.13, 26, 2 0 -2
44.21, 43, 1 2 1
61.67, 12, 1 2 -3